(1)
Structure and theoretical powder XRD pattern of V2ReW6 (a structure optimized by DFT (PBE); Cu Kα X-rays).
Lines closer than 0.1° are merged.

Top 10 peaks for 2θ = 15–90°, by intensity:
d [Å], I_rel
2.261, 100
2.241, 49
2.197, 45
2.288, 34
2.203, 23
1.259, 20
1.867, 19
1.298, 17
3.499, 16
1.571, 16

abc: 7.857 7.982 4.482
angles: 90.00 90.00 90.00
Atoms (fractional coordinates):
V: 0.163 0.233 0.000
V: 0.337 0.733 0.500
V: 0.663 0.267 0.500
V: 0.837 0.767 0.000
Re: 0.000 0.000 0.500
Re: 0.500 0.500 0.000
W: 0.001 0.669 0.500
W: 0.165 0.567 0.000
W: 0.165 0.902 0.000
W: 0.335 0.067 0.500
W: 0.335 0.402 0.500
W: 0.499 0.169 0.000
W: 0.501 0.831 0.000
W: 0.665 0.598 0.500
W: 0.665 0.933 0.500
W: 0.835 0.098 0.000
W: 0.835 0.433 0.000
W: 0.999 0.331 0.500

=====

(2)
Structure and theoretical powder XRD pattern of Na3YNp3Se8 (a structure optimized by DFT (PBE); Cu Kα X-rays).
Lines closer than 0.1° are merged.

Top 10 peaks for 2θ = 15–90°, by intensity:
d [Å], I_rel
2.985, 100
2.134, 37
2.088, 37
3.565, 32
1.711, 20
2.318, 19
2.002, 19
1.323, 17
1.346, 16
1.214, 12

abc: 8.351 8.351 8.538
angles: 119.27 119.27 60.02
Atoms (fractional coordinates):
Na: 0.000 0.000 0.000
Na: 0.000 0.500 0.000
Na: 0.500 0.000 0.000
Y: 0.000 0.000 0.500
Np: 0.000 0.500 0.500
Np: 0.500 0.000 0.500
Np: 0.500 0.500 0.500
Se: 0.242 0.242 0.729
Se: 0.244 0.742 0.726
Se: 0.256 0.256 0.270
Se: 0.258 0.756 0.274
Se: 0.742 0.244 0.726
Se: 0.744 0.744 0.730
Se: 0.756 0.258 0.274
Se: 0.758 0.758 0.271